Structure and simulated PXRD pattern of Ti6P2O (a crystal structure in the Materials Project, relaxed with PBE; a wavelength of 1.5418 Å).

Lattice parameters (Å, degrees): 5.186 5.186 7.733 91.28 91.28 37.02
Fractional coordinates of all 9 atoms:
Ti (0.055, 0.055, 0.241)
Ti (0.361, 0.361, 0.056)
Ti (0.363, 0.363, 0.453)
Ti (0.637, 0.637, 0.547)
Ti (0.639, 0.639, 0.944)
Ti (0.945, 0.945, 0.759)
P (0.249, 0.249, 0.752)
P (0.751, 0.751, 0.248)
O (0.000, 0.000, 0.500)

The 10 most intense peaks (2θ = 10–90°), in order of rising 2θ:
2theta  intensity
36.87  51
37.15  62
38.76  100
39.08  47
39.88  27
40.36  38
40.75  51
44.12  28
45.84  37
55.84  37